Record 1
Diffraction record for La2B6Rh9. The PXRD pattern is simulated, not measured: it uses a PBE-relaxed structure and Cu Kα (λ = 1.5418 Å).

Peak list (12 most intense, 5 to 70 degrees two-theta, low angle first)
h k l  2θ/deg  I/Imax
0 0 2  20.77  6
1 0 2  27.60  14
0 0 3  31.35  14
2 0 0  36.42  100
1 1 2  37.95  6
2 0 2  42.30  4
1 1 3  44.98  17
2 0 3  48.81  29
0 0 5  53.61  6
2 1 3  59.21  11
2 2 0  65.56  20
2 0 5  66.51  3

a b c (Å): 5.6951 5.6951 8.5591
angles (deg): 90.00 90.00 120.00
Space group P6/mmm (No. 191)
Asymmetric unit:
La  0.0000  0.0000  0.2137
B  0.3333  0.6667  0.1659
B  0.3333  0.6667  0.5000
Rh  0.0000  0.5000  0.0000
Rh  0.0000  0.5000  0.3367


Record 2
Diffraction record for Sr11InSb9. The PXRD pattern is simulated, not measured: it uses a PBE-relaxed structure and Cu Kα (λ = 1.5418 Å).

Peak list (12 most intense, 5 to 70 degrees two-theta, low angle first)
h k l  2θ/deg  I/Imax
2 2 4  28.11  17
1 4 1  28.34  28
0 4 2  28.79  15
2 3 3  29.00  55
3 3 0  29.45  81
4 1 1  29.74  30
0 0 6  30.21  100
1 4 3  31.81  17
4 1 3  33.07  14
0 4 4  33.81  19
4 1 5  38.98  15
3 3 6  42.73  25

a b c (Å): 12.5295 13.2393 17.7175
angles (deg): 90.00 90.00 90.00
Space group Iba2 (No. 45)
Asymmetric unit:
Sr  0.0000  0.0000  0.0000
Sr  0.0736  0.2782  0.0222
Sr  0.0889  0.2720  0.3379
Sr  0.1588  0.1733  0.6799
Sr  0.1831  0.4460  0.5517
Sr  0.1850  0.4428  0.8092
In  0.0000  0.0000  0.2877
Sb  0.0000  0.5000  0.4287
Sb  0.0341  0.3953  0.1828
Sb  0.1289  0.1170  0.1766
Sb  0.1484  0.1399  0.8695
Sb  0.1764  0.1788  0.4973


Record 3
Diffraction record for Ac8Pr3Tm. The PXRD pattern is simulated, not measured: it uses a PBE-relaxed structure and Cu Kα (λ = 1.5418 Å).

Peak list (12 most intense, 5 to 70 degrees two-theta, low angle first)
h k l  2θ/deg  I/Imax
1 1 0  13.39  35
2 1 1  22.36  97
2 0 2  23.52  64
2 2 0  26.98  82
0 0 4  27.71  94
2 1 3  29.83  48
2 2 2  30.40  45
3 1 2  33.35  100
2 2 4  39.06  61
4 0 2  41.10  97
4 2 2  45.63  32
4 4 4  63.25  37

a b c (Å): 9.3488 9.3488 12.8779
angles (deg): 90.00 90.00 90.00
Space group I-42m (No. 121)
Asymmetric unit:
Ac  0.1311  0.1311  0.2568
Ac  0.2469  0.2469  0.5100
Pr  0.0000  0.0000  0.0000
Pr  0.0000  0.5000  0.2500
Tm  0.0000  0.0000  0.5000